No. 1
# MgInHg6
Theoretical X-ray diffraction stick pattern, Cu Kα (λ = 1.5418 Å). Input: the GGA-PBE geometry in Alexandria.

Top 12 peaks for 10° ≤ 2θ ≤ 80°, by angle:
17.7°, I = 18; 24.9°, I = 43; 25.4°, I = 48; 31.9°, I = 100; 33.1°, I = 28; 35.2°, I = 32; 35.8°, I = 44; 36.6°, I = 46; 42.5°, I = 23; 43.2°, I = 15; 44.8°, I = 15; 58.9°, I = 29

a = 8.5651 Å, b = 8.5651 Å, c = 7.0182 Å
α = 90.00°, β = 90.00°, γ = 113.32°
Atoms (fractional coordinates):
Mg 0.2500 0.2500 0.0000
Mg 0.7500 0.7500 0.0000
In 0.2500 0.7500 0.5713
In 0.7500 0.2500 0.4287
Hg 0.0384 0.3171 0.7225
Hg 0.0845 0.9155 0.8249
Hg 0.1829 0.4616 0.2775
Hg 0.3171 0.0384 0.2775
Hg 0.4155 0.5845 0.8249
Hg 0.4616 0.1829 0.7225
Hg 0.5384 0.8171 0.2775
Hg 0.5845 0.4155 0.1751
Hg 0.6829 0.9616 0.7225
Hg 0.8171 0.5384 0.7225
Hg 0.9155 0.0845 0.1751
Hg 0.9616 0.6829 0.2775

=====

No. 2
# Mg2In14Hg9
Theoretical X-ray diffraction stick pattern, Cu Kα (λ = 1.5418 Å). Input: the GGA-PBE geometry in Alexandria.

Top 12 peaks for 10° ≤ 2θ ≤ 80°, by angle:
20.0°, I = 43; 28.8°, I = 58; 29.3°, I = 46; 30.9°, I = 47; 31.1°, I = 48; 31.8°, I = 70; 32.0°, I = 83; 33.1°, I = 73; 33.4°, I = 100; 35.5°, I = 77; 37.4°, I = 49; 37.8°, I = 61

a = 5.9427 Å, b = 8.4736 Å, c = 13.7579 Å
α = 73.21°, β = 89.88°, γ = 89.03°
Atoms (fractional coordinates):
Mg 0.0557 0.3225 0.2015
Mg 0.9443 0.6775 0.7985
In 0.0100 0.9447 0.3580
In 0.1520 0.3600 0.9714
In 0.2542 0.5605 0.4569
In 0.2625 0.0110 0.9196
In 0.3508 0.6673 0.1286
In 0.4694 0.1564 0.6793
In 0.4718 0.6612 0.6643
In 0.5282 0.3388 0.3357
In 0.5306 0.8436 0.3207
In 0.6492 0.3327 0.8714
In 0.7375 0.9890 0.0804
In 0.7458 0.4395 0.5431
In 0.8480 0.6400 0.0286
In 0.9900 0.0553 0.6420
Hg 0.0260 0.2559 0.4199
Hg 0.0995 0.3699 0.7368
Hg 0.2150 0.0239 0.1460
Hg 0.4165 0.6881 0.8795
Hg 0.5000 0.0000 0.5000
Hg 0.5835 0.3119 0.1205
Hg 0.7850 0.9761 0.8540
Hg 0.9005 0.6301 0.2632
Hg 0.9740 0.7441 0.5801

=====

No. 3
# MgInHg4
Theoretical X-ray diffraction stick pattern, Cu Kα (λ = 1.5418 Å). Input: the GGA-PBE geometry in Alexandria.

Top 12 peaks for 10° ≤ 2θ ≤ 80°, by angle:
13.2°, I = 23; 31.2°, I = 54; 31.9°, I = 100; 38.3°, I = 28; 40.1°, I = 56; 40.3°, I = 26; 50.0°, I = 28; 52.4°, I = 13; 62.3°, I = 15; 62.8°, I = 13; 66.8°, I = 11; 66.9°, I = 12

a = 6.4196 Å, b = 3.4898 Å, c = 6.7167 Å
α = 90.00°, β = 91.53°, γ = 90.00°
Atoms (fractional coordinates):
Mg 0.0000 0.0000 0.0000
In 0.5000 0.5000 0.0000
Hg 0.1507 0.5000 0.6854
Hg 0.3199 0.0000 0.3424
Hg 0.6801 0.0000 0.6576
Hg 0.8493 0.5000 0.3146

=====

No. 4
# Mg3In2Hg8
Theoretical X-ray diffraction stick pattern, Cu Kα (λ = 1.5418 Å). Input: the GGA-PBE geometry in Alexandria.

Top 12 peaks for 10° ≤ 2θ ≤ 80°, by angle:
12.9°, I = 37; 29.2°, I = 45; 30.0°, I = 20; 33.6°, I = 100; 33.9°, I = 62; 37.6°, I = 63; 38.6°, I = 26; 40.5°, I = 23; 49.8°, I = 23; 61.6°, I = 22; 61.9°, I = 22; 71.3°, I = 20

a = 6.9964 Å, b = 3.6604 Å, c = 12.6563 Å
α = 90.00°, β = 101.19°, γ = 90.00°
Atoms (fractional coordinates):
Mg 0.0000 0.0000 0.0000
Mg 0.1360 0.5000 0.2328
Mg 0.8640 0.5000 0.7672
In 0.2017 0.0000 0.7059
In 0.7983 0.0000 0.2941
Hg 0.1868 0.0000 0.4432
Hg 0.2660 0.5000 0.9163
Hg 0.3901 0.0000 0.1359
Hg 0.4820 0.5000 0.6206
Hg 0.5180 0.5000 0.3794
Hg 0.6099 0.0000 0.8641
Hg 0.7340 0.5000 0.0837
Hg 0.8132 0.0000 0.5568

=====

No. 5
# NaMgIn2Hg4
Theoretical X-ray diffraction stick pattern, Cu Kα (λ = 1.5418 Å). Input: the GGA-PBE geometry in Alexandria.

Top 12 peaks for 10° ≤ 2θ ≤ 80°, by angle:
25.5°, I = 63; 29.5°, I = 100; 29.7°, I = 48; 42.2°, I = 38; 42.3°, I = 74; 50.0°, I = 22; 52.4°, I = 40; 61.2°, I = 13; 69.4°, I = 18; 69.5°, I = 17; 69.8°, I = 16; 77.3°, I = 26

a = 7.3880 Å, b = 7.3858 Å, c = 6.0563 Å
α = 65.82°, β = 65.78°, γ = 48.40°
Atoms (fractional coordinates):
Na 0.0000 0.0000 0.0000
Mg 0.7500 0.7500 0.7500
In 0.2500 0.2500 0.2500
In 0.5000 0.5000 0.5000
Hg 0.2507 0.2507 0.7493
Hg 0.5098 0.5098 0.9902
Hg 0.7493 0.7493 0.2507
Hg 0.9902 0.9902 0.5098

=====

No. 6
# NdMg2In2Hg2
Theoretical X-ray diffraction stick pattern, Cu Kα (λ = 1.5418 Å). Input: the GGA-PBE geometry in Alexandria.

Top 12 peaks for 10° ≤ 2θ ≤ 80°, by angle:
21.0°, I = 23; 21.5°, I = 22; 22.3°, I = 14; 25.5°, I = 25; 27.6°, I = 14; 32.6°, I = 100; 37.1°, I = 90; 43.0°, I = 22; 50.3°, I = 30; 55.2°, I = 11; 64.1°, I = 29; 67.0°, I = 16

a = 8.9140 Å, b = 8.9140 Å, c = 8.9140 Å
α = 31.52°, β = 31.52°, γ = 31.52°
Atoms (fractional coordinates):
Nd 0.0000 0.0000 0.0000
Mg 0.1381 0.1381 0.1381
Mg 0.8619 0.8619 0.8619
In 0.2654 0.2654 0.2654
In 0.7346 0.7346 0.7346
Hg 0.4328 0.4328 0.4328
Hg 0.5672 0.5672 0.5672